For K5Rb3, a PBE-relaxed structure gives the theoretical powder diffraction line list in this record (copper Kα).

The 10 most intense peaks (10 to 80 degrees two-theta), in order of rising 2θ:
d/Å  Rel. int.  (hkl)
5.000  10  1 0 1
3.898  100  1 0 4
3.614  42  1 1 0
3.012  12  0 0 8
2.556  16  2 0 0
2.314  23  1 1 8
2.137  36  2 1 4
1.949  13  2 0 8
1.869  11  1 0 12
1.509  10  2 1 12

Structure:
```
data_K5Rb3
_chemical_formula_sum 'K5 Rb3'
_space_group_name_H-M_alt 'P 4/m m m'
_space_group_IT_number 123
_space_group_name_Hall '-P 4 2'
_cell_length_a 5.1110
_cell_length_b 5.1110
_cell_length_c 24.0996
_cell_angle_alpha 90.00
_cell_angle_beta 90.00
_cell_angle_gamma 90.00
loop_
_atom_site_label
_atom_site_fract_x
_atom_site_fract_y
_atom_site_fract_z
K1 0.0000 0.0000 0.0000
K2 0.0000 0.0000 0.2569
K3 0.5000 0.5000 0.3716
Rb1 0.0000 0.0000 0.5000
Rb2 0.5000 0.5000 0.1281
```

For CsLiScI6, a PBE-relaxed structure gives the theoretical powder diffraction line list in this record (copper Kα).

The 10 most intense peaks (10 to 80 degrees two-theta), in order of rising 2θ:
d/Å  Rel. int.  (hkl)
5.232  24  1 0 1
3.406  100  1 1 1
3.083  20  0 0 3
2.871  65  2 -1 2
2.359  11  1 1 3
2.115  27  3 0 0
1.955  23  1 1 4
1.797  14  4 -2 1
1.744  21  3 0 3
1.703  13  2 2 2

Structure:
```
data_CsLiScI6
_chemical_formula_sum 'Cs1 Li1 Sc1 I6'
_space_group_name_H-M_alt 'P 3 1 2'
_space_group_IT_number 149
_cell_length_a 7.3265
_cell_length_b 7.3265
_cell_length_c 9.2486
_cell_angle_alpha 90.00
_cell_angle_beta 90.00
_cell_angle_gamma 120.00
loop_
_space_group_symop_operation_xyz
'x,y,z'
'-y,x-y,z'
'-x+y,-x,z'
'-y,-x,-z'
'-x+y,y,-z'
'x,x-y,-z'
loop_
_atom_site_label
_atom_site_fract_x
_atom_site_fract_y
_atom_site_fract_z
Cs1 0.0000 0.0000 0.0000
Li1 0.6667 0.3333 0.5000
Sc1 0.3333 0.6667 0.5000
I1 0.0072 0.3559 0.6842
```

For CaLa2Os2N6, a PBE-relaxed structure gives the theoretical powder diffraction line list in this record (copper Kα).

The 10 most intense peaks (10 to 80 degrees two-theta), in order of rising 2θ:
d/Å  Rel. int.  (hkl)
4.846  27  1 0 1
2.953  100  0 1 5
2.902  95  1 1 0
2.070  42  2 0 5
1.715  20  1 0 10
1.685  39  1 2 5
1.676  19  3 0 0
1.451  15  2 2 0
1.316  16  2 1 10
1.302  17  3 1 5

Structure:
```
data_CaLa2Os2N6
_chemical_formula_sum 'Ca3 La6 Os6 N18'
_space_group_name_H-M_alt 'R -3 m'
_space_group_IT_number 166
_space_group_name_Hall '-R 3 2"'
_cell_length_a 5.8043
_cell_length_b 5.8043
_cell_length_c 18.2461
_cell_angle_alpha 90.00
_cell_angle_beta 90.00
_cell_angle_gamma 120.00
loop_
_atom_site_label
_atom_site_fract_x
_atom_site_fract_y
_atom_site_fract_z
Ca1 0.0000 0.0000 0.0000
La1 0.0000 0.0000 0.2086
Os1 0.0000 0.0000 0.4015
N1 0.0067 0.5033 0.7647
```

For Pr4Y4Er5, a PBE-relaxed structure gives the theoretical powder diffraction line list in this record (copper Kα).

The 10 most intense peaks (10 to 80 degrees two-theta), in order of rising 2θ:
d/Å  Rel. int.  (hkl)
6.484  3  2 0 0
2.933  100  2 3 1
2.543  34  5 1 0
2.534  17  0 0 2
1.798  12  4 6 0
1.795  24  5 1 2
1.533  28  7 4 1
1.529  14  2 3 3
1.466  12  4 6 2
1.272  4  10 2 0

Structure:
```
data_Pr4Y4Er5
_chemical_formula_sum 'Pr8 Y8 Er10'
_space_group_name_H-M_alt 'I 4/m'
_space_group_IT_number 87
_space_group_name_Hall '-I 4'
_cell_length_a 12.9674
_cell_length_b 12.9674
_cell_length_c 5.0673
_cell_angle_alpha 90.00
_cell_angle_beta 90.00
_cell_angle_gamma 90.00
loop_
_atom_site_label
_atom_site_fract_x
_atom_site_fract_y
_atom_site_fract_z
Pr1 0.0786 0.6176 0.0000
Y1 0.1525 0.2281 0.0000
Er1 0.0000 0.0000 0.0000
Er2 0.0385 0.8118 0.5000
```